Structure and theoretical powder diffractogram of Fe10O11 (a DFT-relaxed cell (GGA+U, the Materials Project); Cu Kα (λ = 1.5418 Å)).
Lines closer than 0.1° are merged.

Crystal structure
```
Fe10O11
1.0
5.3538 0.0000 0.0000
-1.7384 6.5817 0.0000
-1.0071 -2.3947 6.3704
Fe O
10 11
Cartesian
-0.4782 0.5221 2.5719
-0.6565 3.8546 1.4840
0.9450 0.8485 0.3560
-0.1707 1.8350 5.3861
1.4369 -1.2633 4.3564
1.1715 5.4504 2.0140
2.7791 2.3521 0.9843
1.6633 3.3386 6.0143
3.2648 0.3324 4.8863
3.0866 3.6649 3.7985
-1.9434 2.6606 5.8876
-0.2161 -0.5879 4.6157
-0.5744 3.0702 3.5344
1.2496 -0.4052 2.3887
1.0329 3.3078 1.0433
2.6769 0.0000 0.0000
1.5755 0.8792 5.3270
1.3587 4.5922 3.9817
3.1828 1.1168 2.8360
2.8244 4.7750 1.7546
4.5517 1.5264 0.4828
```

The 12 most intense peaks (2θ from 10° to 80°), in order of rising 2θ:
2θ/deg, intensity, h k l
29.34, 642, 1 -2 1
34.71, 415, -1 1 2
38.84, 1000, 1 2 0
39.73, 919, 0 1 -3
41.72, 239, 2 0 1
43.22, 216, 2 1 -2
51.61, 391, -3 1 1
51.80, 387, -2 3 1
54.55, 320, 1 3 -3
58.95, 242, 1 1 3
60.87, 215, 2 -4 2
62.79, 193, 3 -2 2